1.
Starting from a structure optimized by DFT (GGA-PBE), the powder diffractogram of Rb8Zr6MnBr20 was calculated for λ = 1.5418 Å (Cu Kα).

Crystal structure
Cell: 12.0842 12.0842 12.0842 Å, 60.00 60.00 60.00°
Sites, in units of the cell vectors:
Rb 0.1404 0.1404 0.1404
Rb 0.1404 0.1404 0.5789
Rb 0.1404 0.5789 0.1404
Rb 0.4211 0.8596 0.8596
Rb 0.5789 0.1404 0.1404
Rb 0.8596 0.4211 0.8596
Rb 0.8596 0.8596 0.4211
Rb 0.8596 0.8596 0.8596
Zr 0.3573 0.3573 0.6427
Zr 0.3573 0.6427 0.3573
Zr 0.3573 0.6427 0.6427
Zr 0.6427 0.3573 0.3573
Zr 0.6427 0.3573 0.6427
Zr 0.6427 0.6427 0.3573
Mn 0.5000 0.5000 0.5000
Br 0.1766 0.5000 0.5000
Br 0.1766 0.5000 0.8234
Br 0.1766 0.8234 0.5000
Br 0.1852 0.1852 0.8148
Br 0.1852 0.8148 0.1852
Br 0.1852 0.8148 0.8148
Br 0.2500 0.2500 0.2500
Br 0.5000 0.1766 0.5000
Br 0.5000 0.1766 0.8234
Br 0.5000 0.5000 0.1766
Br 0.5000 0.5000 0.8234
Br 0.5000 0.8234 0.1766
Br 0.5000 0.8234 0.5000
Br 0.7500 0.7500 0.7500
Br 0.8148 0.1852 0.1852
Br 0.8148 0.1852 0.8148
Br 0.8148 0.8148 0.1852
Br 0.8234 0.1766 0.5000
Br 0.8234 0.5000 0.1766
Br 0.8234 0.5000 0.5000

Main lines, in order of rising 2θ (2θ from 10° to 90°):
| two_theta | I/Imax |
| --- | --- |
| 10.35 | 30 |
| 27.11 | 84 |
| 30.96 | 29 |
| 31.41 | 100 |
| 33.15 | 24 |
| 40.55 | 21 |
| 42.31 | 18 |
| 45.01 | 64 |
| 53.34 | 22 |
| 72.30 | 16 |

2.
Starting from a structure optimized by DFT (GGA-PBE), the powder diffractogram of MnSbS2Br was calculated for λ = 1.5418 Å (Cu Kα).

Crystal structure
Cell: 6.6495 6.6495 9.5990 Å, 91.40 91.40 33.77°
Sites, in units of the cell vectors:
Mn 0.0000 0.0000 0.0000
Mn 0.0000 0.0000 0.5000
Sb 0.2896 0.2896 0.6906
Sb 0.7104 0.7104 0.3094
S 0.0745 0.0745 0.2576
S 0.3620 0.3620 0.4495
S 0.6380 0.6380 0.5505
S 0.9255 0.9255 0.7424
Br 0.3673 0.3673 0.0692
Br 0.6327 0.6327 0.9308

Main lines, in order of rising 2θ (2θ from 10° to 90°):
| two_theta | I/Imax |
| --- | --- |
| 16.52 | 22 |
| 23.51 | 65 |
| 30.64 | 24 |
| 30.97 | 56 |
| 31.32 | 100 |
| 32.56 | 33 |
| 32.88 | 30 |
| 37.31 | 21 |
| 46.37 | 22 |
| 47.10 | 53 |

3.
Starting from a structure optimized by DFT (GGA-PBE), the powder diffractogram of MnSbSe2Br was calculated for λ = 1.5418 Å (Cu Kα).

Crystal structure
Cell: 10.7235 27.5530 3.9376 Å, 90.00 90.00 90.00°
Sites, in units of the cell vectors:
Mn 0.0000 0.0000 0.0000
Mn 0.0000 0.5000 0.0000
Mn 0.0697 0.2438 0.0000
Mn 0.4303 0.7438 0.0000
Mn 0.5000 0.0000 0.0000
Mn 0.5000 0.5000 0.0000
Mn 0.5697 0.2562 0.0000
Mn 0.9303 0.7562 0.0000
Sb 0.1480 0.3557 0.0000
Sb 0.1764 0.6031 0.5000
Sb 0.3236 0.1031 0.5000
Sb 0.3520 0.8557 0.0000
Sb 0.6480 0.1443 0.0000
Sb 0.6764 0.8969 0.5000
Sb 0.8236 0.3969 0.5000
Sb 0.8520 0.6443 0.0000
Se 0.0526 0.4339 0.5000
Se 0.0813 0.6806 0.0000
Se 0.2190 0.2896 0.5000
Se 0.2341 0.5346 0.0000
Se 0.2659 0.0346 0.0000
Se 0.2810 0.7896 0.5000
Se 0.4187 0.1806 0.0000
Se 0.4474 0.9339 0.5000
Se 0.5526 0.0661 0.5000
Se 0.5813 0.8194 0.0000
Se 0.7190 0.2104 0.5000
Se 0.7341 0.9654 0.0000
Se 0.7659 0.4654 0.0000
Se 0.7810 0.7104 0.5000
Se 0.9187 0.3194 0.0000
Se 0.9474 0.5661 0.5000
Br 0.0564 0.1818 0.5000
Br 0.0842 0.9200 0.0000
Br 0.4158 0.4200 0.0000
Br 0.4436 0.6818 0.5000
Br 0.5564 0.3182 0.5000
Br 0.5842 0.5800 0.0000
Br 0.9158 0.0800 0.0000
Br 0.9436 0.8182 0.5000

Main lines, in order of rising 2θ (2θ from 10° to 90°):
| two_theta | I/Imax |
| --- | --- |
| 25.99 | 57 |
| 28.12 | 100 |
| 29.09 | 58 |
| 31.06 | 91 |
| 33.25 | 40 |
| 36.36 | 37 |
| 40.96 | 36 |
| 41.94 | 37 |
| 46.10 | 58 |
| 54.88 | 29 |

4.
Starting from a structure optimized by DFT (GGA-PBE), the powder diffractogram of MnSbSe2Br was calculated for λ = 1.5418 Å (Cu Kα).

Crystal structure
Cell: 10.1030 3.9838 13.0149 Å, 90.00 90.00 90.00°
Sites, in units of the cell vectors:
Mn 0.0073 0.2500 0.2372
Mn 0.4927 0.7500 0.7372
Mn 0.5073 0.2500 0.2628
Mn 0.9927 0.7500 0.7628
Sb 0.1853 0.7500 0.4621
Sb 0.3147 0.2500 0.9621
Sb 0.6853 0.7500 0.0379
Sb 0.8147 0.2500 0.5379
Se 0.0540 0.2500 0.6193
Se 0.2483 0.2500 0.3235
Se 0.2517 0.7500 0.8235
Se 0.4460 0.7500 0.1193
Se 0.5540 0.2500 0.8807
Se 0.7483 0.2500 0.1765
Se 0.7517 0.7500 0.6765
Se 0.9460 0.7500 0.3807
Br 0.0691 0.7500 0.1127
Br 0.4309 0.2500 0.6127
Br 0.5691 0.7500 0.3873
Br 0.9309 0.2500 0.8873

Main lines, in order of rising 2θ (2θ from 10° to 90°):
| two_theta | I/Imax |
| --- | --- |
| 11.09 | 21 |
| 27.36 | 19 |
| 29.87 | 67 |
| 30.46 | 94 |
| 31.75 | 100 |
| 35.57 | 27 |
| 45.34 | 51 |
| 45.53 | 45 |
| 51.19 | 28 |
| 55.42 | 27 |

5.
Starting from a structure optimized by DFT (GGA-PBE), the powder diffractogram of MnSbSe2Br was calculated for λ = 1.5418 Å (Cu Kα).

Crystal structure
Cell: 10.9001 3.9255 27.6069 Å, 90.00 90.17 90.00°
Sites, in units of the cell vectors:
Mn 0.0000 0.0000 0.0000
Mn 0.0015 0.0000 0.5012
Mn 0.0699 0.0000 0.2448
Mn 0.4258 0.0000 0.7445
Mn 0.5008 0.0000 0.0006
Mn 0.5152 0.0000 0.4978
Mn 0.5767 0.0000 0.2562
Mn 0.9312 0.0000 0.7559
Sb 0.1462 0.0000 0.3567
Sb 0.1740 0.5000 0.6026
Sb 0.3291 0.5000 0.1037
Sb 0.3532 0.0000 0.8563
Sb 0.6488 0.0000 0.1445
Sb 0.6727 0.5000 0.8974
Sb 0.8262 0.5000 0.3974
Sb 0.8549 0.0000 0.6445
Se 0.0497 0.5000 0.4347
Se 0.0772 0.0000 0.6811
Se 0.2186 0.5000 0.2917
Se 0.2305 0.0000 0.5358
Se 0.2705 0.0000 0.0364
Se 0.2788 0.5000 0.7913
Se 0.4276 0.0000 0.1816
Se 0.4497 0.5000 0.9345
Se 0.5524 0.5000 0.0668
Se 0.5745 0.0000 0.8194
Se 0.7233 0.5000 0.2096
Se 0.7315 0.0000 0.9647
Se 0.7673 0.0000 0.4650
Se 0.7819 0.5000 0.7093
Se 0.9235 0.0000 0.3200
Se 0.9493 0.5000 0.5663
Br 0.0555 0.5000 0.1834
Br 0.0839 0.0000 0.9219
Br 0.4174 0.0000 0.4216
Br 0.4450 0.5000 0.6834
Br 0.5564 0.5000 0.3174
Br 0.5811 0.0000 0.5785
Br 0.9192 0.0000 0.0784
Br 0.9464 0.5000 0.8174

Main lines, in order of rising 2θ (2θ from 10° to 90°):
| two_theta | I/Imax |
| --- | --- |
| 18.92 | 34 |
| 26.00 | 57 |
| 26.37 | 28 |
| 27.75 | 100 |
| 29.09 | 64 |
| 31.05 | 92 |
| 33.23 | 41 |
| 36.25 | 43 |
| 40.84 | 62 |
| 46.25 | 53 |

6.
Starting from a structure optimized by DFT (GGA-PBE), the powder diffractogram of Th6MnBr15 was calculated for λ = 1.5418 Å (Cu Kα).

Crystal structure
Cell: 10.1651 10.1651 10.1651 Å, 109.47 109.47 109.47°
Sites, in units of the cell vectors:
Th 0.0000 0.2382 0.2382
Th 0.0000 0.7618 0.7618
Th 0.2382 0.0000 0.2382
Th 0.2382 0.2382 0.0000
Th 0.7618 0.0000 0.7618
Th 0.7618 0.7618 0.0000
Mn 0.0000 0.0000 0.0000
Br 0.0000 0.2493 0.7507
Br 0.0000 0.5000 0.5000
Br 0.0000 0.7507 0.2493
Br 0.2493 0.0000 0.7507
Br 0.2493 0.2493 0.4985
Br 0.2493 0.4985 0.2493
Br 0.2493 0.7507 0.0000
Br 0.4985 0.2493 0.2493
Br 0.5000 0.0000 0.5000
Br 0.5000 0.5000 0.0000
Br 0.5015 0.7507 0.7507
Br 0.7507 0.0000 0.2493
Br 0.7507 0.2493 0.0000
Br 0.7507 0.5015 0.7507
Br 0.7507 0.7507 0.5015

Main lines, in order of rising 2θ (2θ from 10° to 90°):
| two_theta | I/Imax |
| --- | --- |
| 10.66 | 77 |
| 18.52 | 32 |
| 28.45 | 39 |
| 30.46 | 100 |
| 35.89 | 16 |
| 39.13 | 18 |
| 43.62 | 74 |
| 54.14 | 26 |
| 71.95 | 32 |
| 80.11 | 24 |